For Sm6Zn5Rh, the GGA-PBE geometry in Alexandria gives the calculated X-ray powder pattern in this record (Cu Ka).
Kinematic intensities with the Lorentz-polarization factor, no thermal factor.

Crystal structure
```
data_Sm6Zn5Rh
_chemical_formula_sum 'Sm6 Zn5 Rh1'
_cell_length_a 5.128
_cell_length_b 7.219
_cell_length_c 8.084
_cell_angle_alpha 90.00
_cell_angle_beta 108.38
_cell_angle_gamma 90.00
_space_group_name_H-M_alt 'P 1 2/m 1'
_space_group_IT_number 10
loop_
_space_group_symop_operation_xyz
'x,y,z'
'-x,-y,-z'
'-x,y,-z'
'x,-y,z'
loop_
_atom_site_label
_atom_site_type_symbol
_atom_site_fract_x
_atom_site_fract_y
_atom_site_fract_z
Sm1 Sm 0.000 0.242 0.000
Sm2 Sm 0.338 0.247 0.677
Zn1 Zn 0.170 0.500 0.339
Zn2 Zn 0.175 0.000 0.350
Zn3 Zn 0.500 0.500 0.000
Rh1 Rh 0.500 0.000 0.000
```

Principal peaks in the range 2θ = 5–70°, by angle:
24.6°, rel. 13; 35.1°, rel. 100; 35.1°, rel. 50; 50.3°, rel. 9; 50.5°, rel. 9; 50.6°, rel. 9; 62.8°, rel. 18; 63.0°, rel. 26

For NbSiPCl2, the GGA-PBE geometry in Alexandria gives the calculated X-ray powder pattern in this record (Cu Ka).
Kinematic intensities with the Lorentz-polarization factor, no thermal factor.

Crystal structure
```
data_NbSiPCl2
_chemical_formula_sum 'Nb1 Si1 P1 Cl2'
_cell_length_a 4.557
_cell_length_b 4.557
_cell_length_c 4.871
_cell_angle_alpha 90.00
_cell_angle_beta 90.00
_cell_angle_gamma 90.00
_space_group_name_H-M_alt 'P 4/m m m'
_space_group_IT_number 123
_space_group_name_Hall '-P 4 2'
loop_
_atom_site_label
_atom_site_type_symbol
_atom_site_fract_x
_atom_site_fract_y
_atom_site_fract_z
Nb1 Nb 0.000 0.000 0.000
Si1 Si 0.500 0.500 0.500
P1 P 0.500 0.500 0.000
Cl1 Cl 0.000 0.500 0.500
```

Principal peaks in the range 2θ = 5–70°, by angle:
26.8°, rel. 54; 27.7°, rel. 20; 33.3°, rel. 100; 36.9°, rel. 33; 39.6°, rel. 54; 48.4°, rel. 21; 55.2°, rel. 38; 67.8°, rel. 22

For NbNiPd, the GGA-PBE geometry in Alexandria gives the calculated X-ray powder pattern in this record (Cu Ka).
Kinematic intensities with the Lorentz-polarization factor, no thermal factor.

Crystal structure
```
data_NbNiPd
_chemical_formula_sum 'Nb4 Ni4 Pd4'
_cell_length_a 4.684
_cell_length_b 8.370
_cell_length_c 4.761
_cell_angle_alpha 90.00
_cell_angle_beta 108.09
_cell_angle_gamma 90.00
_space_group_name_H-M_alt 'C 1 2/c 1'
_space_group_IT_number 15
loop_
_space_group_symop_operation_xyz
'x,y,z'
'-x,-y,-z'
'-x,y,-z+1/2'
'x,-y,z+1/2'
'x+1/2,y+1/2,z'
'-x+1/2,-y+1/2,-z'
'-x+1/2,y+1/2,-z+1/2'
'x+1/2,-y+1/2,z+1/2'
loop_
_atom_site_label
_atom_site_type_symbol
_atom_site_fract_x
_atom_site_fract_y
_atom_site_fract_z
Nb1 Nb 0.000 0.107 0.250
Ni1 Ni 0.000 0.240 0.750
Pd1 Pd 0.000 0.425 0.250
```

Principal peaks in the range 2θ = 5–70°, by angle:
39.8°, rel. 55; 40.0°, rel. 100; 40.5°, rel. 53; 46.2°, rel. 66; 47.6°, rel. 33; 67.6°, rel. 11; 68.0°, rel. 20; 68.9°, rel. 19

For Ba6Sr2Li, the GGA-PBE geometry in Alexandria gives the calculated X-ray powder pattern in this record (Cu Ka).
Kinematic intensities with the Lorentz-polarization factor, no thermal factor.

Crystal structure
```
data_Ba6Sr2Li
_chemical_formula_sum 'Ba6 Sr2 Li1'
_cell_length_a 4.3630
_cell_length_b 4.3630
_cell_length_c 31.5943
_cell_angle_alpha 90.00
_cell_angle_beta 90.00
_cell_angle_gamma 120.00
_space_group_name_H-M_alt 'P -6 m 2'
_space_group_IT_number 187
_space_group_name_Hall 'P -6 2'
loop_
_atom_site_label
_atom_site_type_symbol
_atom_site_fract_x
_atom_site_fract_y
_atom_site_fract_z
Ba1 Ba 0.0000 0.0000 0.0641
Ba2 Ba 0.0000 0.0000 0.2928
Ba3 Ba 0.3333 0.6667 0.4112
Sr1 Sr 0.3333 0.6667 0.1785
Li1 Li 0.0000 0.0000 0.5000
```

Principal peaks in the range 2θ = 5–70°, by angle:
22.5°, rel. 25; 23.5°, rel. 41; 23.7°, rel. 25; 25.0°, rel. 41; 26.1°, rel. 21; 27.5°, rel. 100; 41.4°, rel. 36; 66.0°, rel. 21